Entry 1:
Starting from DFT lattice parameters and positions (PBE), the powder XRD pattern of CeFe2Ge2 was simulated for a wavelength of 1.5418 Å.

Largest 6 diffraction maxima, by angle, 5° ≤ 2θ ≤ 70°:
2θ 30.90, intensity 29
2θ 35.00, intensity 100
2θ 35.98, intensity 75
2θ 44.26, intensity 61
2θ 57.64, intensity 47
2θ 65.25, intensity 22

```
data_CeFe2Ge2
_symmetry_space_group_name_H-M 'P 1'
_symmetry_Int_Tables_number 1
_symmetry_space_group_name_Hall 'P 1'
_cell_length_a 5.7199
_cell_length_b 5.7199
_cell_length_c 5.7199
_cell_angle_alpha 138.08
_cell_angle_beta 138.08
_cell_angle_gamma 60.79
loop_
_atom_site_label
_atom_site_type_symbol
_atom_site_fract_x
_atom_site_fract_y
_atom_site_fract_z
Ce1 Ce 0.0000 0.0000 0.0000
Fe1 Fe 0.2500 0.7500 0.5000
Fe2 Fe 0.7500 0.2500 0.5000
Ge1 Ge 0.3648 0.3648 0.0000
Ge2 Ge 0.6352 0.6352 0.0000
```



Entry 2:
Starting from DFT lattice parameters and positions (PBE), the powder XRD pattern of TmCdCu4 was simulated for a wavelength of 1.5418 Å.

Largest 6 diffraction maxima, by angle, 5° ≤ 2θ ≤ 70°:
2θ 21.48, intensity 8
2θ 35.44, intensity 55
2θ 41.82, intensity 100
2θ 43.78, intensity 20
2θ 63.63, intensity 20
2θ 68.00, intensity 30

```
data_TmCdCu4
_symmetry_space_group_name_H-M 'P 1'
_symmetry_Int_Tables_number 1
_symmetry_space_group_name_Hall 'P 1'
_cell_length_a 5.0655
_cell_length_b 5.0655
_cell_length_c 5.0655
_cell_angle_alpha 60.00
_cell_angle_beta 60.00
_cell_angle_gamma 60.00
loop_
_atom_site_label
_atom_site_type_symbol
_atom_site_fract_x
_atom_site_fract_y
_atom_site_fract_z
Tm1 Tm 0.0000 0.0000 0.0000
Cd1 Cd 0.7500 0.7500 0.7500
Cu1 Cu 0.3757 0.3757 0.3757
Cu2 Cu 0.3757 0.3757 0.8729
Cu3 Cu 0.3757 0.8729 0.3757
Cu4 Cu 0.8729 0.3757 0.3757
```



Entry 3:
Starting from DFT lattice parameters and positions (PBE), the powder XRD pattern of Cs2O was simulated for a wavelength of 1.5418 Å.

Largest 6 diffraction maxima, by angle, 5° ≤ 2θ ≤ 70°:
2θ 12.04, intensity 26
2θ 24.22, intensity 28
2θ 25.45, intensity 100
2θ 29.12, intensity 85
2θ 42.42, intensity 34
2θ 49.44, intensity 24

```
data_Cs2O
_symmetry_space_group_name_H-M 'P 1'
_symmetry_Int_Tables_number 1
_symmetry_space_group_name_Hall 'P 1'
_cell_length_a 7.7512
_cell_length_b 7.7512
_cell_length_c 7.7512
_cell_angle_alpha 31.91
_cell_angle_beta 31.91
_cell_angle_gamma 31.91
loop_
_atom_site_label
_atom_site_type_symbol
_atom_site_fract_x
_atom_site_fract_y
_atom_site_fract_z
Cs1 Cs 0.2357 0.2357 0.2357
Cs2 Cs 0.7643 0.7643 0.7643
O1 O 0.5000 0.5000 0.5000
```



Entry 4:
Starting from DFT lattice parameters and positions (PBE), the powder XRD pattern of Na6Sn2PC4O16 was simulated for a wavelength of 1.5418 Å.

Largest 6 diffraction maxima, by angle, 5° ≤ 2θ ≤ 70°:
2θ 10.54, intensity 35
2θ 20.27, intensity 100
2θ 32.00, intensity 75
2θ 34.92, intensity 71
2θ 36.58, intensity 37
2θ 41.20, intensity 39

```
data_Na6Sn2PC4O16
_symmetry_space_group_name_H-M 'P 1'
_symmetry_Int_Tables_number 1
_symmetry_space_group_name_Hall 'P 1'
_cell_length_a 10.2769
_cell_length_b 10.2769
_cell_length_c 10.2769
_cell_angle_alpha 60.00
_cell_angle_beta 60.00
_cell_angle_gamma 60.00
loop_
_atom_site_label
_atom_site_type_symbol
_atom_site_fract_x
_atom_site_fract_y
_atom_site_fract_z
Na1 Na 0.0746 0.0746 0.6754
Na2 Na 0.0746 0.6754 0.0746
Na3 Na 0.0746 0.6754 0.6754
Na4 Na 0.3246 0.3246 0.9254
Na5 Na 0.3246 0.9254 0.3246
Na6 Na 0.3246 0.9254 0.9254
Na7 Na 0.6754 0.0746 0.0746
Na8 Na 0.6754 0.0746 0.6754
Na9 Na 0.6754 0.6754 0.0746
Na10 Na 0.9254 0.3246 0.3246
Na11 Na 0.9254 0.3246 0.9254
Na12 Na 0.9254 0.9254 0.3246
Sn1 Sn 0.0000 0.5000 0.5000
Sn2 Sn 0.5000 0.0000 0.5000
Sn3 Sn 0.5000 0.5000 0.0000
Sn4 Sn 0.5000 0.5000 0.5000
P1 P 0.1250 0.1250 0.1250
P2 P 0.8750 0.8750 0.8750
C1 C 0.2743 0.2743 0.2743
C2 C 0.2743 0.2743 0.6772
C3 C 0.2743 0.6772 0.2743
C4 C 0.3228 0.7257 0.7257
C5 C 0.6772 0.2743 0.2743
C6 C 0.7257 0.3228 0.7257
C7 C 0.7257 0.7257 0.3228
C8 C 0.7257 0.7257 0.7257
O1 O 0.0630 0.0630 0.0630
O2 O 0.0630 0.0630 0.3109
O3 O 0.0630 0.3109 0.0630
O4 O 0.1449 0.2790 0.3986
O5 O 0.1449 0.3986 0.6775
O6 O 0.1449 0.6775 0.2790
O7 O 0.2790 0.1449 0.6775
O8 O 0.2790 0.3986 0.1449
O9 O 0.2790 0.6775 0.3986
O10 O 0.3109 0.0630 0.0630
O11 O 0.3225 0.6014 0.7210
O12 O 0.3225 0.7210 0.8551
O13 O 0.3225 0.8551 0.6014
O14 O 0.3986 0.1449 0.2790
O15 O 0.3986 0.2790 0.6775
O16 O 0.3986 0.6775 0.1449
O17 O 0.6014 0.3225 0.8551
O18 O 0.6014 0.7210 0.3225
O19 O 0.6014 0.8551 0.7210
O20 O 0.6775 0.1449 0.3986
O21 O 0.6775 0.2790 0.1449
O22 O 0.6775 0.3986 0.2790
O23 O 0.6891 0.9370 0.9370
O24 O 0.7210 0.3225 0.6014
O25 O 0.7210 0.6014 0.8551
O26 O 0.7210 0.8551 0.3225
O27 O 0.8551 0.3225 0.7210
O28 O 0.8551 0.6014 0.3225
O29 O 0.8551 0.7210 0.6014
O30 O 0.9370 0.6891 0.9370
O31 O 0.9370 0.9370 0.6891
O32 O 0.9370 0.9370 0.9370
```



Entry 5:
Starting from DFT lattice parameters and positions (PBE), the powder XRD pattern of CeCl3 was simulated for a wavelength of 1.5418 Å.

Largest 6 diffraction maxima, by angle, 5° ≤ 2θ ≤ 70°:
2θ 13.41, intensity 100
2θ 23.33, intensity 41
2θ 24.97, intensity 58
2θ 34.44, intensity 86
2θ 41.00, intensity 32
2θ 42.02, intensity 72

```
data_CeCl3
_symmetry_space_group_name_H-M 'P 1'
_symmetry_Int_Tables_number 1
_symmetry_space_group_name_Hall 'P 1'
_cell_length_a 7.6247
_cell_length_b 7.6247
_cell_length_c 4.2366
_cell_angle_alpha 90.00
_cell_angle_beta 90.00
_cell_angle_gamma 120.00
loop_
_atom_site_label
_atom_site_type_symbol
_atom_site_fract_x
_atom_site_fract_y
_atom_site_fract_z
Ce1 Ce 0.3333 0.6667 0.2500
Ce2 Ce 0.6667 0.3333 0.7500
Cl1 Cl 0.0878 0.3926 0.7500
Cl2 Cl 0.3048 0.9122 0.7500
Cl3 Cl 0.3926 0.3048 0.2500
Cl4 Cl 0.6074 0.6952 0.7500
Cl5 Cl 0.6952 0.0878 0.2500
Cl6 Cl 0.9122 0.6074 0.2500
```



Entry 6:
Starting from DFT lattice parameters and positions (PBE), the powder XRD pattern of Ti2SnC was simulated for a wavelength of 1.5418 Å.

Largest 6 diffraction maxima, by angle, 5° ≤ 2θ ≤ 70°:
2θ 12.83, intensity 19
2θ 32.57, intensity 21
2θ 33.23, intensity 18
2θ 38.14, intensity 100
2θ 39.17, intensity 19
2θ 58.12, intensity 20

```
data_Ti2SnC
_symmetry_space_group_name_H-M 'P 1'
_symmetry_Int_Tables_number 1
_symmetry_space_group_name_Hall 'P 1'
_cell_length_a 3.1744
_cell_length_b 3.1744
_cell_length_c 13.8004
_cell_angle_alpha 90.00
_cell_angle_beta 90.00
_cell_angle_gamma 120.00
loop_
_atom_site_label
_atom_site_type_symbol
_atom_site_fract_x
_atom_site_fract_y
_atom_site_fract_z
Ti1 Ti 0.3333 0.6667 0.0808
Ti2 Ti 0.3333 0.6667 0.4192
Ti3 Ti 0.6667 0.3333 0.5808
Ti4 Ti 0.6667 0.3333 0.9192
Sn1 Sn 0.3333 0.6667 0.7500
Sn2 Sn 0.6667 0.3333 0.2500
C1 C 0.0000 0.0000 0.0000
C2 C 0.0000 0.0000 0.5000
```



Entry 7:
Starting from DFT lattice parameters and positions (PBE), the powder XRD pattern of BaNb3NO7 was simulated for a wavelength of 1.5418 Å.

Largest 6 diffraction maxima, by angle, 5° ≤ 2θ ≤ 70°:
2θ 25.68, intensity 86
2θ 25.80, intensity 86
2θ 26.13, intensity 76
2θ 27.93, intensity 57
2θ 30.46, intensity 100
2θ 54.04, intensity 55

```
data_BaNb3NO7
_symmetry_space_group_name_H-M 'P 1'
_symmetry_Int_Tables_number 1
_symmetry_space_group_name_Hall 'P 1'
_cell_length_a 10.7779
_cell_length_b 10.7779
_cell_length_c 9.1381
_cell_angle_alpha 90.25
_cell_angle_beta 90.25
_cell_angle_gamma 20.81
loop_
_atom_site_label
_atom_site_type_symbol
_atom_site_fract_x
_atom_site_fract_y
_atom_site_fract_z
Ba1 Ba 0.0000 0.0000 0.0000
Ba2 Ba 0.0296 0.0296 0.5100
Nb1 Nb 0.2468 0.2468 0.9829
Nb2 Nb 0.3756 0.3756 0.2984
Nb3 Nb 0.3827 0.3827 0.6913
Nb4 Nb 0.6423 0.6423 0.8075
Nb5 Nb 0.6452 0.6452 0.1959
Nb6 Nb 0.7731 0.7731 0.5033
N1 N 0.1712 0.1712 0.8534
N2 N 0.5754 0.5754 0.6869
O1 O 0.1651 0.1651 0.1694
O2 O 0.3015 0.3015 0.5025
O3 O 0.3098 0.3098 0.1639
O4 O 0.3097 0.3097 0.8441
O5 O 0.4307 0.4307 0.5103
O6 O 0.4463 0.4463 0.1823
O7 O 0.4464 0.4464 0.8259
O8 O 0.5803 0.5803 0.3252
O9 O 0.5938 0.5938 0.0133
O10 O 0.7173 0.7173 0.6532
O11 O 0.7184 0.7184 0.3473
O12 O 0.7310 0.7310 0.0266
O13 O 0.8596 0.8596 0.6651
O14 O 0.8615 0.8615 0.3513
```